1.
Diffraction record for La8Zn3Cu2. The X-ray diffraction stick pattern is theoretical, not measured: it uses the GGA-PBE geometry in Alexandria and Cu Ka.
Peak positions follow from Bragg's law for the DFT cell and can differ from measured ones.

Atomic structure:
```
data_La8Zn3Cu2
_cell_length_a 8.4592
_cell_length_b 16.0882
_cell_length_c 5.4531
_cell_angle_alpha 90.00
_cell_angle_beta 90.00
_cell_angle_gamma 90.00
_symmetry_space_group_name_H-M 'C m m m'
_symmetry_Int_Tables_number 65
_symmetry_space_group_name_Hall '-C 2 2'
loop_
_atom_site_label
_atom_site_fract_x
_atom_site_fract_y
_atom_site_fract_z
La1 0.0000 0.1036 0.0000
La2 0.0000 0.3048 0.0000
La3 0.2067 0.3823 0.5000
Zn1 0.0000 0.0000 0.5000
Zn2 0.1541 0.5000 0.0000
Cu1 0.0000 0.2181 0.5000
```

Largest 10 diffraction maxima, by angle, 15 to 90 degrees two-theta:
| (hkl) | 2θ/deg | I_rel |
| --- | --- | --- |
| 2 0 1 | 26.67 | 60.9 |
| 3 1 0 | 32.23 | 28.6 |
| 0 0 2 | 32.85 | 65.7 |
| 1 5 1 | 34.04 | 100.0 |
| 2 4 1 | 34.90 | 79.0 |
| 3 3 1 | 39.72 | 20.1 |
| 3 1 2 | 46.68 | 20.1 |
| 4 0 2 | 54.96 | 20.0 |
| 2 4 3 | 59.97 | 20.2 |
| 5 5 1 | 64.54 | 25.2 |

---

2.
Diffraction record for La2Zn5Cu3. The X-ray diffraction stick pattern is theoretical, not measured: it uses the GGA-PBE geometry in Alexandria and Cu Ka.
Peak positions follow from Bragg's law for the DFT cell and can differ from measured ones.

Atomic structure:
```
data_La2Zn5Cu3
_cell_length_a 4.1533
_cell_length_b 4.1533
_cell_length_c 10.9977
_cell_angle_alpha 90.00
_cell_angle_beta 90.00
_cell_angle_gamma 90.00
_symmetry_space_group_name_H-M 'P -4 m 2'
_symmetry_Int_Tables_number 115
loop_
_symmetry_equiv_pos_as_xyz
'x,y,z'
'y,-x,-z'
'-x,-y,z'
'-y,x,-z'
'-x,y,z'
'-y,-x,-z'
'x,-y,z'
'y,x,-z'
loop_
_atom_site_label
_atom_site_fract_x
_atom_site_fract_y
_atom_site_fract_z
La1 0.0000 0.5000 0.2358
Zn1 0.0000 0.0000 0.5000
Zn2 0.0000 0.5000 0.6425
Zn3 0.5000 0.5000 0.0000
Zn4 0.5000 0.5000 0.5000
Cu1 0.0000 0.0000 0.0000
Cu2 0.0000 0.5000 0.8707
```

Largest 10 diffraction maxima, by angle, 15 to 90 degrees two-theta:
| (hkl) | 2θ/deg | I_rel |
| --- | --- | --- |
| 1 1 0 | 30.44 | 14.8 |
| 1 0 3 | 32.58 | 64.5 |
| 1 1 2 | 34.63 | 100.0 |
| 2 0 0 | 43.58 | 52.3 |
| 1 1 4 | 45.17 | 11.4 |
| 1 0 5 | 46.73 | 29.9 |
| 2 1 3 | 55.46 | 30.4 |
| 2 2 0 | 63.33 | 17.4 |
| 2 1 5 | 65.81 | 20.6 |
| 3 1 2 | 74.24 | 20.2 |

---

3.
Diffraction record for La3Zn7Cu4. The X-ray diffraction stick pattern is theoretical, not measured: it uses the GGA-PBE geometry in Alexandria and Cu Ka.
Peak positions follow from Bragg's law for the DFT cell and can differ from measured ones.

Atomic structure:
```
data_La3Zn7Cu4
_cell_length_a 15.8399
_cell_length_b 4.4134
_cell_length_c 8.9701
_cell_angle_alpha 90.00
_cell_angle_beta 122.95
_cell_angle_gamma 90.00
_symmetry_space_group_name_H-M 'C 1 2/m 1'
_symmetry_Int_Tables_number 12
loop_
_symmetry_equiv_pos_as_xyz
'x,y,z'
'-x,-y,-z'
'-x,y,-z'
'x,-y,z'
'x+1/2,y+1/2,z'
'-x+1/2,-y+1/2,-z'
'-x+1/2,y+1/2,-z'
'x+1/2,-y+1/2,z'
loop_
_atom_site_label
_atom_site_fract_x
_atom_site_fract_y
_atom_site_fract_z
La1 0.0000 0.0000 0.0000
La2 0.2014 0.5000 0.7024
Zn1 0.0000 0.0000 0.5000
Zn2 0.0010 0.5000 0.3029
Zn3 0.1391 0.0000 0.4212
Zn4 0.1664 0.5000 0.0181
Cu1 0.1269 0.0000 0.8398
Cu2 0.1613 0.5000 0.3003
```

Largest 10 diffraction maxima, by angle, 15 to 90 degrees two-theta:
| (hkl) | 2θ/deg | I_rel |
| --- | --- | --- |
| 3 1 0 | 28.55 | 41.9 |
| 6 0 -2 | 34.01 | 28.2 |
| 1 1 2 | 34.66 | 100.0 |
| 3 1 1 | 35.05 | 38.4 |
| 5 1 -2 | 35.30 | 98.1 |
| 3 1 -3 | 36.30 | 80.9 |
| 5 1 -3 | 39.12 | 30.5 |
| 5 1 0 | 39.57 | 33.3 |
| 6 0 0 | 40.73 | 43.1 |
| 0 2 0 | 40.90 | 98.1 |

---

4.
Diffraction record for LaZn2Cu6. The X-ray diffraction stick pattern is theoretical, not measured: it uses the GGA-PBE geometry in Alexandria and Cu Ka.
Peak positions follow from Bragg's law for the DFT cell and can differ from measured ones.

Atomic structure:
Lattice parameters (Å, degrees): 11.0310 11.0310 11.0310 90.00 90.00 90.00
Space group Fd-3m (No. 227, origin choice 2)
One atom of each set of equivalent atoms:
1 La 0.1250 0.1250 0.1250
2 Zn 0.0000 0.0000 0.5000
3 Cu 0.1211 0.3750 0.8750

Largest 10 diffraction maxima, by angle, 15 to 90 degrees two-theta:
| (hkl) | 2θ/deg | I_rel |
| --- | --- | --- |
| 3 1 1 | 26.80 | 55.7 |
| 2 2 2 | 28.02 | 11.7 |
| 4 0 0 | 32.47 | 48.8 |
| 3 3 3 | 42.59 | 19.1 |
| 4 4 0 | 46.57 | 100.0 |
| 4 4 4 | 57.92 | 11.5 |
| 7 3 1 | 64.93 | 14.2 |
| 8 0 0 | 67.99 | 14.9 |
| 8 4 0 | 77.38 | 13.8 |
| 8 4 4 | 86.43 | 30.1 |

---

5.
Diffraction record for La2ZnCu9. The X-ray diffraction stick pattern is theoretical, not measured: it uses the GGA-PBE geometry in Alexandria and Cu Ka.
Peak positions follow from Bragg's law for the DFT cell and can differ from measured ones.

Atomic structure:
```
data_La2ZnCu9
_cell_length_a 5.1376
_cell_length_b 5.1376
_cell_length_c 25.3994
_cell_angle_alpha 90.00
_cell_angle_beta 90.00
_cell_angle_gamma 120.00
_symmetry_space_group_name_H-M 'R -3 m'
_symmetry_Int_Tables_number 166
_symmetry_space_group_name_Hall '-R 3 2"'
loop_
_atom_site_label
_atom_site_fract_x
_atom_site_fract_y
_atom_site_fract_z
La1 0.0000 0.0000 0.1343
Zn1 0.0000 0.0000 0.0000
Cu1 0.0000 0.0000 0.3326
Cu2 0.0000 0.0000 0.5000
Cu3 0.0009 0.5004 0.0783
```

Largest 10 diffraction maxima, by angle, 15 to 90 degrees two-theta:
| (hkl) | 2θ/deg | I_rel |
| --- | --- | --- |
| 1 0 7 | 31.82 | 36.0 |
| 0 1 8 | 34.71 | 45.3 |
| 1 1 0 | 34.93 | 46.0 |
| 0 2 1 | 40.71 | 40.5 |
| 1 1 6 | 41.11 | 100.0 |
| 0 2 4 | 43.08 | 18.5 |
| 0 1 11 | 44.19 | 25.8 |
| 2 0 5 | 44.46 | 36.5 |
| 0 3 6 | 66.84 | 19.0 |
| 2 2 0 | 73.77 | 25.6 |

---

6.
Diffraction record for Li5Cu2. The X-ray diffraction stick pattern is theoretical, not measured: it uses the GGA-PBE geometry in Alexandria and Cu Ka.
Peak positions follow from Bragg's law for the DFT cell and can differ from measured ones.

Atomic structure:
```
data_Li5Cu2
_cell_length_a 8.4927
_cell_length_b 4.0348
_cell_length_c 6.1385
_cell_angle_alpha 90.00
_cell_angle_beta 100.10
_cell_angle_gamma 90.00
_symmetry_space_group_name_H-M 'C 1 2/m 1'
_symmetry_Int_Tables_number 12
loop_
_symmetry_equiv_pos_as_xyz
'x,y,z'
'-x,-y,-z'
'-x,y,-z'
'x,-y,z'
'x+1/2,y+1/2,z'
'-x+1/2,-y+1/2,-z'
'-x+1/2,y+1/2,-z'
'x+1/2,-y+1/2,z'
loop_
_atom_site_label
_atom_site_fract_x
_atom_site_fract_y
_atom_site_fract_z
Li1 0.0000 0.0000 0.0000
Li2 0.1383 0.0000 0.4355
Li3 0.2103 0.5000 0.1413
Cu1 0.0710 0.5000 0.6977
```

Largest 10 diffraction maxima, by angle, 15 to 90 degrees two-theta:
| (hkl) | 2θ/deg | I_rel |
| --- | --- | --- |
| 2 0 0 | 21.25 | 34.7 |
| 2 0 -1 | 23.66 | 59.8 |
| 1 1 0 | 24.50 | 100.0 |
| 1 1 -1 | 27.66 | 44.4 |
| 0 0 2 | 29.56 | 24.0 |
| 3 1 -1 | 39.99 | 53.9 |
| 1 1 2 | 40.24 | 51.4 |
| 3 1 1 | 44.22 | 17.3 |
| 0 2 0 | 44.95 | 27.5 |
| 1 1 -3 | 50.07 | 16.9 |

---

7.
Diffraction record for Li7Cu3. The X-ray diffraction stick pattern is theoretical, not measured: it uses the GGA-PBE geometry in Alexandria and Cu Ka.
Peak positions follow from Bragg's law for the DFT cell and can differ from measured ones.

Atomic structure:
```
data_Li7Cu3
_cell_length_a 13.9584
_cell_length_b 3.8565
_cell_length_c 5.5827
_cell_angle_alpha 90.00
_cell_angle_beta 101.84
_cell_angle_gamma 90.00
_symmetry_space_group_name_H-M 'C 1 2/m 1'
_symmetry_Int_Tables_number 12
loop_
_symmetry_equiv_pos_as_xyz
'x,y,z'
'-x,-y,-z'
'-x,y,-z'
'x,-y,z'
'x+1/2,y+1/2,z'
'-x+1/2,-y+1/2,-z'
'-x+1/2,y+1/2,-z'
'x+1/2,-y+1/2,z'
loop_
_atom_site_label
_atom_site_fract_x
_atom_site_fract_y
_atom_site_fract_z
Li1 0.0000 0.0000 0.0000
Li2 0.1037 0.5000 0.2987
Li3 0.1036 0.5000 0.8001
Li4 0.2005 0.0000 0.6129
Cu1 0.0000 0.0000 0.5000
Cu2 0.2071 0.0000 0.0907
```

Largest 10 diffraction maxima, by angle, 15 to 90 degrees two-theta:
| (hkl) | 2θ/deg | I_rel |
| --- | --- | --- |
| 2 0 -1 | 18.60 | 66.5 |
| 2 0 1 | 22.83 | 100.0 |
| 1 1 0 | 23.98 | 46.2 |
| 4 0 0 | 26.09 | 30.8 |
| 1 1 1 | 29.85 | 28.4 |
| 3 1 -1 | 32.59 | 79.2 |
| 1 1 -2 | 39.87 | 72.7 |
| 5 1 0 | 40.46 | 68.7 |
| 4 0 2 | 46.64 | 23.0 |
| 0 2 0 | 47.13 | 22.4 |

---

8.
Diffraction record for Li3Cu4. The X-ray diffraction stick pattern is theoretical, not measured: it uses the GGA-PBE geometry in Alexandria and Cu Ka.
Peak positions follow from Bragg's law for the DFT cell and can differ from measured ones.

Atomic structure:
```
data_Li3Cu4
_cell_length_a 7.2882
_cell_length_b 7.2882
_cell_length_c 4.1873
_cell_angle_alpha 90.00
_cell_angle_beta 90.00
_cell_angle_gamma 120.00
_symmetry_space_group_name_H-M 'P 63/m m c'
_symmetry_Int_Tables_number 194
_symmetry_space_group_name_Hall '-P 6c 2c'
loop_
_atom_site_label
_atom_site_fract_x
_atom_site_fract_y
_atom_site_fract_z
Li1 0.1422 0.2844 0.2500
Cu1 0.1028 0.5514 0.7500
Cu2 0.3333 0.6667 0.2500
```

Largest 10 diffraction maxima, by angle, 15 to 90 degrees two-theta:
| (hkl) | 2θ/deg | I_rel |
| --- | --- | --- |
| 1 1 0 | 24.43 | 11.6 |
| 2 0 0 | 28.28 | 20.0 |
| 2 1 0 | 37.71 | 15.4 |
| 0 0 2 | 43.21 | 22.6 |
| 2 1 1 | 43.67 | 100.0 |
| 1 0 2 | 45.65 | 14.8 |
| 3 0 1 | 48.42 | 32.2 |
| 4 0 1 | 62.95 | 10.3 |
| 5 0 1 | 79.26 | 9.6 |
| 2 1 3 | 79.57 | 14.8 |